No. 1
Er3PaP4: computed X-ray powder pattern (Cu Kα (weighted mean of Kα1 and Kα2)), based on DFT lattice parameters and positions (GGA-PBE).
Lines closer than 0.1° are merged.

Principal peaks in the range 2θ = 10–90°, by angle:
two_theta, Rel. int.
17.71, 3
27.59, 96
31.96, 100
45.83, 73
54.34, 47
56.97, 26
66.83, 12
73.75, 19
76.00, 33
84.82, 26

Structure:
```
data_Er3PaP4
_chemical_formula_sum 'Er3 Pa1 P4'
_cell_length_a 6.857
_cell_length_b 6.857
_cell_length_c 6.857
_cell_angle_alpha 131.80
_cell_angle_beta 131.80
_cell_angle_gamma 70.55
_symmetry_space_group_name_H-M 'P 1'
_symmetry_Int_Tables_number 1
loop_
_symmetry_equiv_pos_as_xyz
'x,y,z'
loop_
_atom_site_label
_atom_site_fract_x
_atom_site_fract_y
_atom_site_fract_z
Er1 0.000 0.000 0.000
Er2 0.250 0.750 0.500
Er3 0.750 0.250 0.500
Pa1 0.500 0.500 0.000
P1 0.000 0.500 0.500
P2 0.254 0.254 0.000
P3 0.500 0.000 0.500
P4 0.746 0.746 0.000
```



No. 2
ErPu2PaP4: computed X-ray powder pattern (Cu Kα (weighted mean of Kα1 and Kα2)), based on DFT lattice parameters and positions (GGA-PBE).
Lines closer than 0.1° are merged.

Principal peaks in the range 2θ = 10–90°, by angle:
two_theta, Rel. int.
27.36, 54
27.52, 53
31.79, 100
45.38, 13
45.56, 50
45.80, 12
53.92, 31
54.12, 13
56.45, 13
75.45, 11

Structure:
```
data_ErPu2PaP4
_chemical_formula_sum 'Er1 Pu2 Pa1 P4'
_cell_length_a 6.882
_cell_length_b 3.997
_cell_length_c 6.895
_cell_angle_alpha 90.00
_cell_angle_beta 109.78
_cell_angle_gamma 90.00
_symmetry_space_group_name_H-M 'P 1'
_symmetry_Int_Tables_number 1
loop_
_symmetry_equiv_pos_as_xyz
'x,y,z'
loop_
_atom_site_label
_atom_site_fract_x
_atom_site_fract_y
_atom_site_fract_z
Er1 0.000 0.000 0.000
Pu1 0.500 0.000 0.500
Pu2 0.500 0.500 0.000
Pa1 0.000 0.500 0.500
P1 0.246 0.000 0.749
P2 0.248 0.500 0.253
P3 0.752 0.500 0.747
P4 0.754 0.000 0.251
```



No. 3
Sm4ErPa3P8: computed X-ray powder pattern (Cu Kα (weighted mean of Kα1 and Kα2)), based on DFT lattice parameters and positions (GGA-PBE).
Lines closer than 0.1° are merged.

Principal peaks in the range 2θ = 10–90°, by angle:
two_theta, Rel. int.
27.10, 95
31.39, 100
44.93, 37
45.04, 37
53.29, 36
55.93, 19
65.51, 12
74.37, 17
74.52, 17
83.07, 19

Structure:
```
data_Sm4ErPa3P8
_chemical_formula_sum 'Sm4 Er1 Pa3 P8'
_cell_length_a 8.069
_cell_length_b 8.069
_cell_length_c 8.069
_cell_angle_alpha 59.85
_cell_angle_beta 59.85
_cell_angle_gamma 59.85
_symmetry_space_group_name_H-M 'P 1'
_symmetry_Int_Tables_number 1
loop_
_symmetry_equiv_pos_as_xyz
'x,y,z'
loop_
_atom_site_label
_atom_site_fract_x
_atom_site_fract_y
_atom_site_fract_z
Sm1 0.000 0.000 0.000
Sm2 0.000 0.500 0.500
Sm3 0.500 0.000 0.500
Sm4 0.500 0.500 0.000
Er1 0.500 0.500 0.500
Pa1 0.000 0.000 0.500
Pa2 0.000 0.500 0.000
Pa3 0.500 0.000 0.000
P1 0.244 0.747 0.747
P2 0.246 0.246 0.246
P3 0.253 0.253 0.756
P4 0.253 0.756 0.253
P5 0.747 0.244 0.747
P6 0.747 0.747 0.244
P7 0.754 0.754 0.754
P8 0.756 0.253 0.253
```



No. 4
Er4Te2PPb: computed X-ray powder pattern (Cu Kα (weighted mean of Kα1 and Kα2)), based on DFT lattice parameters and positions (GGA-PBE).
Lines closer than 0.1° are merged.

Principal peaks in the range 2θ = 10–90°, by angle:
two_theta, Rel. int.
29.58, 100
41.99, 12
42.22, 24
42.45, 25
42.67, 13
52.40, 6
52.78, 13
61.41, 11
69.46, 9
69.79, 11

Structure:
```
data_Er4Te2PPb
_chemical_formula_sum 'Er4 Te2 P1 Pb1'
_cell_length_a 7.389
_cell_length_b 4.238
_cell_length_c 7.441
_cell_angle_alpha 90.00
_cell_angle_beta 109.06
_cell_angle_gamma 90.00
_symmetry_space_group_name_H-M 'P 1'
_symmetry_Int_Tables_number 1
loop_
_symmetry_equiv_pos_as_xyz
'x,y,z'
loop_
_atom_site_label
_atom_site_fract_x
_atom_site_fract_y
_atom_site_fract_z
Er1 0.226 0.000 0.219
Er2 0.242 0.500 0.770
Er3 0.758 0.500 0.230
Er4 0.774 0.000 0.781
Te1 0.000 0.000 0.500
Te2 0.500 0.500 0.500
P1 0.000 0.500 0.000
Pb1 0.500 0.000 0.000
```



No. 5
ErP2Pd5: computed X-ray powder pattern (Cu Kα (weighted mean of Kα1 and Kα2)), based on DFT lattice parameters and positions (GGA-PBE).
Lines closer than 0.1° are merged.

Principal peaks in the range 2θ = 10–90°, by angle:
two_theta, Rel. int.
31.92, 31
35.21, 100
36.67, 96
44.67, 14
45.02, 33
46.95, 36
56.25, 13
65.23, 12
67.08, 24
81.24, 14

Structure:
```
data_ErP2Pd5
_chemical_formula_sum 'Er1 P2 Pd5'
_cell_length_a 6.158
_cell_length_b 6.158
_cell_length_c 6.158
_cell_angle_alpha 141.83
_cell_angle_beta 110.22
_cell_angle_gamma 82.43
_symmetry_space_group_name_H-M 'P 1'
_symmetry_Int_Tables_number 1
loop_
_symmetry_equiv_pos_as_xyz
'x,y,z'
loop_
_atom_site_label
_atom_site_fract_x
_atom_site_fract_y
_atom_site_fract_z
Er1 0.000 0.000 0.000
P1 0.247 0.747 0.500
P2 0.753 0.253 0.500
Pd1 0.148 0.348 0.800
Pd2 0.452 0.652 0.800
Pd3 0.500 0.000 0.500
Pd4 0.548 0.348 0.200
Pd5 0.852 0.652 0.200
```



No. 6
Er3P4Pd7: computed X-ray powder pattern (Cu Kα (weighted mean of Kα1 and Kα2)), based on DFT lattice parameters and positions (GGA-PBE).
Lines closer than 0.1° are merged.

Principal peaks in the range 2θ = 10–90°, by angle:
two_theta, Rel. int.
31.06, 21
35.28, 23
36.18, 100
36.57, 29
37.12, 69
38.51, 29
39.86, 25
43.53, 33
45.44, 45
64.74, 20

Structure:
```
data_Er3P4Pd7
_chemical_formula_sum 'Er3 P4 Pd7'
_cell_length_a 7.906
_cell_length_b 7.906
_cell_length_c 9.359
_cell_angle_alpha 124.08
_cell_angle_beta 124.08
_cell_angle_gamma 29.25
_symmetry_space_group_name_H-M 'P 1'
_symmetry_Int_Tables_number 1
loop_
_symmetry_equiv_pos_as_xyz
'x,y,z'
loop_
_atom_site_label
_atom_site_fract_x
_atom_site_fract_y
_atom_site_fract_z
Er1 0.000 0.000 0.000
Er2 0.320 0.320 0.323
Er3 0.680 0.680 0.677
P1 0.106 0.106 0.821
P2 0.341 0.341 0.748
P3 0.659 0.659 0.252
P4 0.894 0.894 0.179
Pd1 0.000 0.000 0.500
Pd2 0.168 0.168 0.421
Pd3 0.305 0.305 0.969
Pd4 0.490 0.490 0.716
Pd5 0.510 0.510 0.284
Pd6 0.695 0.695 0.031
Pd7 0.832 0.832 0.579
```



No. 7
ErPPd: computed X-ray powder pattern (Cu Kα (weighted mean of Kα1 and Kα2)), based on DFT lattice parameters and positions (GGA-PBE).
Lines closer than 0.1° are merged.

Principal peaks in the range 2θ = 10–90°, by angle:
two_theta, Rel. int.
25.14, 27
34.46, 43
34.88, 100
36.43, 79
37.24, 39
41.09, 20
41.72, 30
43.87, 22
45.53, 32
67.61, 24

Structure:
```
data_ErPPd
_chemical_formula_sum 'Er4 P4 Pd4'
_cell_length_a 6.873
_cell_length_b 3.985
_cell_length_c 7.737
_cell_angle_alpha 90.00
_cell_angle_beta 90.00
_cell_angle_gamma 90.00
_symmetry_space_group_name_H-M 'P 1'
_symmetry_Int_Tables_number 1
loop_
_symmetry_equiv_pos_as_xyz
'x,y,z'
loop_
_atom_site_label
_atom_site_fract_x
_atom_site_fract_y
_atom_site_fract_z
Er1 0.031 0.250 0.187
Er2 0.469 0.750 0.687
Er3 0.531 0.250 0.313
Er4 0.969 0.750 0.813
P1 0.249 0.250 0.876
P2 0.251 0.750 0.376
P3 0.749 0.250 0.624
P4 0.751 0.750 0.124
Pd1 0.148 0.250 0.561
Pd2 0.352 0.750 0.061
Pd3 0.648 0.250 0.939
Pd4 0.852 0.750 0.439
```



No. 8
ErTl2P2Pd7: computed X-ray powder pattern (Cu Kα (weighted mean of Kα1 and Kα2)), based on DFT lattice parameters and positions (GGA-PBE).
Lines closer than 0.1° are merged.

Principal peaks in the range 2θ = 10–90°, by angle:
two_theta, Rel. int.
31.72, 37
33.25, 66
33.80, 45
34.49, 82
36.10, 96
37.04, 100
44.42, 75
44.71, 46
46.08, 39
64.64, 42

Structure:
```
data_ErTl2P2Pd7
_chemical_formula_sum 'Er1 Tl2 P2 Pd7'
_cell_length_a 4.081
_cell_length_b 4.081
_cell_length_c 13.646
_cell_angle_alpha 96.43
_cell_angle_beta 96.43
_cell_angle_gamma 89.95
_symmetry_space_group_name_H-M 'P 1'
_symmetry_Int_Tables_number 1
loop_
_symmetry_equiv_pos_as_xyz
'x,y,z'
loop_
_atom_site_label
_atom_site_fract_x
_atom_site_fract_y
_atom_site_fract_z
Er1 0.000 0.000 0.000
Tl1 0.106 0.106 0.385
Tl2 0.894 0.894 0.615
P1 0.411 0.411 0.753
P2 0.589 0.589 0.247
Pd1 0.058 0.560 0.157
Pd2 0.381 0.381 0.582
Pd3 0.440 0.942 0.843
Pd4 0.500 0.500 0.000
Pd5 0.560 0.058 0.157
Pd6 0.619 0.619 0.418
Pd7 0.942 0.440 0.843
```